This entry pairs a crystal structure of Ga with its simulated powder XRD pattern. Radiation: copper Kα. Structure: a PBE-relaxed structure.

Crystal structure
Cell lengths 2.9135, 4.4367, 5.1680 Å; angles 65.60, 88.61, 71.36 degrees
Fractional positions:
Ga 0.0000 0.0000 0.0000
Ga 0.1712 0.6389 0.6689
Ga 0.8288 0.3611 0.3311

Largest 6 diffraction maxima, sorted by position, 2θ = 10–80°:
two_theta, d (Å), I_rel
32.69, 2.739, 535
33.18, 2.700, 409
35.48, 2.530, 1000
36.31, 2.474, 930
41.56, 2.173, 369
43.04, 2.101, 544

***

This entry pairs a crystal structure of NdCuSbO with its simulated powder XRD pattern. Radiation: copper Kα. Structure: a PBE-relaxed structure.

Crystal structure
Cell lengths 4.0145, 4.0145, 10.0394 Å; angles 90.00, 90.00, 90.00 degrees
Fractional positions:
Nd 0.2500 0.2500 0.1192
Nd 0.7500 0.7500 0.8808
Cu 0.2500 0.7500 0.5000
Cu 0.7500 0.2500 0.5000
Sb 0.2500 0.2500 0.6710
Sb 0.7500 0.7500 0.3290
O 0.2500 0.7500 0.0000
O 0.7500 0.2500 0.0000

Largest 6 diffraction maxima, sorted by position, 2θ = 10–80°:
two_theta, d (Å), I_rel
28.47, 3.135, 1000
31.52, 2.839, 203
45.17, 2.007, 358
48.41, 1.880, 289
54.26, 1.690, 327
65.79, 1.419, 181

***

This entry pairs a crystal structure of Cu2H4CO5 with its simulated powder XRD pattern. Radiation: copper Kα. Structure: a PBE-relaxed structure.

Crystal structure
Cell lengths 5.7719, 6.1128, 7.0237 Å; angles 90.00, 110.68, 90.00 degrees
Fractional positions:
Cu 0.0009 0.0000 0.4983
Cu 0.4961 0.2492 0.5046
Cu 0.5039 0.7492 0.4954
Cu 0.9991 0.5000 0.5017
H 0.0709 0.0200 0.9196
H 0.2967 0.2392 0.7756
H 0.3374 0.7368 0.7635
H 0.3671 0.4881 0.2080
H 0.6329 0.9881 0.7920
H 0.6626 0.2368 0.2365
H 0.7033 0.7392 0.2244
H 0.9291 0.5200 0.0804
C 0.2309 0.0737 0.0542
C 0.7691 0.5737 0.9458
O 0.2266 0.2502 0.6205
O 0.2330 0.7494 0.6157
O 0.2345 0.0176 0.2277
O 0.3382 0.5001 0.3369
O 0.3948 0.1908 0.0165
O 0.6052 0.6908 0.9835
O 0.6618 0.0001 0.6631
O 0.7655 0.5176 0.7723
O 0.7670 0.2494 0.3843
O 0.7734 0.7502 0.3795

Largest 6 diffraction maxima, sorted by position, 2θ = 10–80°:
two_theta, d (Å), I_rel
13.47, 6.571, 1000
27.14, 3.286, 195
33.70, 2.660, 222
34.77, 2.580, 156
38.66, 2.329, 235
47.58, 1.911, 142